Record 1
Computed powder diffractogram
Compound: LiNi6Sn4
Radiation: CuKα
Structure: a structure optimized by DFT (PBE)
Kinematic intensities with the Lorentz-polarization factor, no thermal factor.

Principal peaks in the range 2θ from 10° to 90°, by angle:
2θ = 21.3°, I 31; 2θ = 26.1°, I 47; 2θ = 34.1°, I 55; 2θ = 39.4°, I 53; 2θ = 39.8°, I 37; 2θ = 43.4°, I 60; 2θ = 43.5°, I 100; 2θ = 45.5°, I 85; 2θ = 71.8°, I 37; 2θ = 85.1°, I 33

Crystal structure
```
data_LiNi6Sn4
_space_group_name_H-M_alt 'P 1'
_space_group_IT_number 1
_cell_length_a 7.5048
_cell_length_b 7.5048
_cell_length_c 7.5048
_cell_angle_alpha 41.02
_cell_angle_beta 41.02
_cell_angle_gamma 41.02
loop_
_space_group_symop_operation_xyz
'x,y,z'
loop_
_atom_site_label
_atom_site_type_symbol
_atom_site_fract_x
_atom_site_fract_y
_atom_site_fract_z
_atom_site_occupancy
Li1 Li 0.0000 0.0000 0.0000 1
Ni1 Ni 0.1152 0.5987 0.5987 1
Ni2 Ni 0.4013 0.4013 0.8848 1
Ni3 Ni 0.4013 0.8848 0.4013 1
Ni4 Ni 0.5987 0.1152 0.5987 1
Ni5 Ni 0.5987 0.5987 0.1152 1
Ni6 Ni 0.8848 0.4013 0.4013 1
Sn1 Sn 0.1284 0.1284 0.1284 1
Sn2 Sn 0.3305 0.3305 0.3305 1
Sn3 Sn 0.6695 0.6695 0.6695 1
Sn4 Sn 0.8716 0.8716 0.8716 1
```



Record 2
Computed powder diffractogram
Compound: Li2Ta2Ni3
Radiation: CuKα
Structure: a structure optimized by DFT (PBE)
Kinematic intensities with the Lorentz-polarization factor, no thermal factor.

Principal peaks in the range 2θ from 10° to 90°, by angle:
2θ = 26.7°, I 100; 2θ = 27.1°, I 31; 2θ = 31.0°, I 15; 2θ = 44.2°, I 67; 2θ = 44.7°, I 60; 2θ = 52.3°, I 16; 2θ = 52.6°, I 30; 2θ = 53.1°, I 13; 2θ = 64.7°, I 19; 2θ = 81.7°, I 20

Crystal structure
```
data_Li2Ta2Ni3
_space_group_name_H-M_alt 'P 1'
_space_group_IT_number 1
_cell_length_a 6.9877
_cell_length_b 6.9877
_cell_length_c 6.9877
_cell_angle_alpha 34.14
_cell_angle_beta 34.14
_cell_angle_gamma 34.14
loop_
_space_group_symop_operation_xyz
'x,y,z'
loop_
_atom_site_label
_atom_site_type_symbol
_atom_site_fract_x
_atom_site_fract_y
_atom_site_fract_z
_atom_site_occupancy
Li1 Li 0.0000 0.0000 0.0000 1
Li2 Li 0.4923 0.4923 0.4923 1
Ta1 Ta 0.2381 0.2381 0.2381 1
Ta2 Ta 0.7497 0.7497 0.7497 1
Ni1 Ni 0.3665 0.3665 0.3665 1
Ni2 Ni 0.6215 0.6215 0.6215 1
Ni3 Ni 0.8746 0.8746 0.8746 1
```



Record 3
Computed powder diffractogram
Compound: LiTbNiTe3
Radiation: CuKα
Structure: a structure optimized by DFT (PBE)
Kinematic intensities with the Lorentz-polarization factor, no thermal factor.

Principal peaks in the range 2θ from 10° to 90°, by angle:
2θ = 12.1°, I 94; 2θ = 24.2°, I 61; 2θ = 27.9°, I 77; 2θ = 28.6°, I 46; 2θ = 29.8°, I 42; 2θ = 33.2°, I 100; 2θ = 40.9°, I 40; 2θ = 41.6°, I 58; 2θ = 44.6°, I 35; 2θ = 73.7°, I 28

Crystal structure
```
data_LiTbNiTe3
_space_group_name_H-M_alt 'P 1'
_space_group_IT_number 1
_cell_length_a 7.6073
_cell_length_b 7.6073
_cell_length_c 10.6728
_cell_angle_alpha 90.00
_cell_angle_beta 90.00
_cell_angle_gamma 149.02
loop_
_space_group_symop_operation_xyz
'x,y,z'
loop_
_atom_site_label
_atom_site_type_symbol
_atom_site_fract_x
_atom_site_fract_y
_atom_site_fract_z
_atom_site_occupancy
Li1 Li 0.2340 0.7660 0.7500 1
Li2 Li 0.7660 0.2340 0.2500 1
Tb1 Tb 0.0000 0.0000 0.0000 1
Tb2 Tb 0.0000 0.0000 0.5000 1
Ni1 Ni 0.4888 0.5112 0.2500 1
Ni2 Ni 0.5112 0.4888 0.7500 1
Te1 Te 0.0991 0.9009 0.2500 1
Te2 Te 0.3582 0.6418 0.0908 1
Te3 Te 0.3582 0.6418 0.4092 1
Te4 Te 0.6418 0.3582 0.5908 1
Te5 Te 0.6418 0.3582 0.9092 1
Te6 Te 0.9009 0.0991 0.7500 1
```



Record 4
Computed powder diffractogram
Compound: LiTlNiW
Radiation: CuKα
Structure: a structure optimized by DFT (PBE)
Kinematic intensities with the Lorentz-polarization factor, no thermal factor.

Principal peaks in the range 2θ from 10° to 90°, by angle:
2θ = 24.8°, I 5; 2θ = 28.7°, I 61; 2θ = 41.1°, I 100; 2θ = 48.6°, I 2; 2θ = 50.9°, I 17; 2θ = 59.5°, I 17; 2θ = 65.5°, I 1; 2θ = 67.4°, I 23; 2θ = 74.8°, I 34; 2θ = 89.1°, I 11

Crystal structure
```
data_LiTlNiW
_space_group_name_H-M_alt 'P 1'
_space_group_IT_number 1
_cell_length_a 6.2147
_cell_length_b 6.2147
_cell_length_c 6.2147
_cell_angle_alpha 90.00
_cell_angle_beta 90.00
_cell_angle_gamma 90.00
loop_
_space_group_symop_operation_xyz
'x,y,z'
loop_
_atom_site_label
_atom_site_type_symbol
_atom_site_fract_x
_atom_site_fract_y
_atom_site_fract_z
_atom_site_occupancy
Li1 Li 0.0000 0.0000 0.0000 1
Li2 Li 0.0000 0.5000 0.5000 1
Li3 Li 0.5000 0.0000 0.5000 1
Li4 Li 0.5000 0.5000 0.0000 1
Tl1 Tl 0.2500 0.2500 0.2500 1
Tl2 Tl 0.2500 0.7500 0.7500 1
Tl3 Tl 0.7500 0.2500 0.7500 1
Tl4 Tl 0.7500 0.7500 0.2500 1
Ni1 Ni 0.0000 0.0000 0.5000 1
Ni2 Ni 0.0000 0.5000 0.0000 1
Ni3 Ni 0.5000 0.0000 0.0000 1
Ni4 Ni 0.5000 0.5000 0.5000 1
W1 W 0.2500 0.2500 0.7500 1
W2 W 0.2500 0.7500 0.2500 1
W3 W 0.7500 0.2500 0.2500 1
W4 W 0.7500 0.7500 0.7500 1
```



Record 5
Computed powder diffractogram
Compound: Li2Y2Ni15
Radiation: CuKα
Structure: a structure optimized by DFT (PBE)
Kinematic intensities with the Lorentz-polarization factor, no thermal factor.

Principal peaks in the range 2θ from 10° to 90°, by angle:
2θ = 21.4°, I 25; 2θ = 31.0°, I 17; 2θ = 37.5°, I 19; 2θ = 43.6°, I 36; 2θ = 44.0°, I 100; 2θ = 45.2°, I 37; 2θ = 49.4°, I 45; 2θ = 64.6°, I 17; 2θ = 72.2°, I 17; 2θ = 80.1°, I 15

Crystal structure
```
data_Li2Y2Ni15
_space_group_name_H-M_alt 'P 1'
_space_group_IT_number 1
_cell_length_a 6.2516
_cell_length_b 6.2516
_cell_length_c 6.2516
_cell_angle_alpha 83.24
_cell_angle_beta 83.24
_cell_angle_gamma 83.24
loop_
_space_group_symop_operation_xyz
'x,y,z'
loop_
_atom_site_label
_atom_site_type_symbol
_atom_site_fract_x
_atom_site_fract_y
_atom_site_fract_z
_atom_site_occupancy
Li1 Li 0.0936 0.0936 0.0936 1
Li2 Li 0.9064 0.9064 0.9064 1
Y1 Y 0.3432 0.3432 0.3432 1
Y2 Y 0.6568 0.6568 0.6568 1
Ni1 Ni 0.0000 0.0000 0.5000 1
Ni2 Ni 0.0000 0.3039 0.6961 1
Ni3 Ni 0.0000 0.5000 0.0000 1
Ni4 Ni 0.0000 0.6961 0.3039 1
Ni5 Ni 0.1582 0.6569 0.6569 1
Ni6 Ni 0.3039 0.0000 0.6961 1
Ni7 Ni 0.3039 0.6961 0.0000 1
Ni8 Ni 0.3431 0.3431 0.8418 1
Ni9 Ni 0.3431 0.8418 0.3431 1
Ni10 Ni 0.5000 0.0000 0.0000 1
Ni11 Ni 0.6569 0.1582 0.6569 1
Ni12 Ni 0.6569 0.6569 0.1582 1
Ni13 Ni 0.6961 0.0000 0.3039 1
Ni14 Ni 0.6961 0.3039 0.0000 1
Ni15 Ni 0.8418 0.3431 0.3431 1
```



Record 6
Computed powder diffractogram
Compound: RbLiNpS3
Radiation: CuKα
Structure: a structure optimized by DFT (PBE)
Kinematic intensities with the Lorentz-polarization factor, no thermal factor.

Principal peaks in the range 2θ from 10° to 90°, by angle:
2θ = 12.4°, I 68; 2θ = 21.1°, I 100; 2θ = 22.7°, I 40; 2θ = 24.9°, I 27; 2θ = 28.5°, I 37; 2θ = 28.8°, I 54; 2θ = 33.7°, I 39; 2θ = 34.4°, I 34; 2θ = 41.6°, I 42; 2θ = 42.3°, I 39

Crystal structure
```
data_RbLiNpS3
_space_group_name_H-M_alt 'P 1'
_space_group_IT_number 1
_cell_length_a 7.4384
_cell_length_b 7.4384
_cell_length_c 10.4241
_cell_angle_alpha 90.00
_cell_angle_beta 90.00
_cell_angle_gamma 148.22
loop_
_space_group_symop_operation_xyz
'x,y,z'
loop_
_atom_site_label
_atom_site_type_symbol
_atom_site_fract_x
_atom_site_fract_y
_atom_site_fract_z
_atom_site_occupancy
Rb1 Rb 0.2373 0.7627 0.7500 1
Rb2 Rb 0.7627 0.2373 0.2500 1
Li1 Li 0.0391 0.9609 0.2500 1
Li2 Li 0.9609 0.0391 0.7500 1
Np1 Np 0.5000 0.5000 0.0000 1
Np2 Np 0.5000 0.5000 0.5000 1
S1 S 0.1176 0.8824 0.0485 1
S2 S 0.1176 0.8824 0.4515 1
S3 S 0.4512 0.5488 0.2500 1
S4 S 0.5488 0.4512 0.7500 1
S5 S 0.8824 0.1176 0.5485 1
S6 S 0.8824 0.1176 0.9515 1
```



Record 7
Computed powder diffractogram
Compound: LiNpZn
Radiation: CuKα
Structure: a structure optimized by DFT (PBE)
Kinematic intensities with the Lorentz-polarization factor, no thermal factor.

Principal peaks in the range 2θ from 10° to 90°, by angle:
2θ = 24.1°, I 54; 2θ = 27.9°, I 100; 2θ = 39.8°, I 84; 2θ = 47.1°, I 29; 2θ = 49.3°, I 28; 2θ = 57.6°, I 14; 2θ = 63.3°, I 13; 2θ = 65.2°, I 37; 2θ = 72.3°, I 29; 2θ = 77.5°, I 10

Crystal structure
```
data_LiNpZn
_space_group_name_H-M_alt 'P 1'
_space_group_IT_number 1
_cell_length_a 6.4017
_cell_length_b 6.4017
_cell_length_c 6.4017
_cell_angle_alpha 90.00
_cell_angle_beta 90.00
_cell_angle_gamma 90.00
loop_
_space_group_symop_operation_xyz
'x,y,z'
loop_
_atom_site_label
_atom_site_type_symbol
_atom_site_fract_x
_atom_site_fract_y
_atom_site_fract_z
_atom_site_occupancy
Li1 Li 0.0000 0.0000 0.0000 1
Li2 Li 0.0000 0.5000 0.5000 1
Li3 Li 0.5000 0.0000 0.5000 1
Li4 Li 0.5000 0.5000 0.0000 1
Np1 Np 0.2500 0.2500 0.2500 1
Np2 Np 0.2500 0.7500 0.7500 1
Np3 Np 0.7500 0.2500 0.7500 1
Np4 Np 0.7500 0.7500 0.2500 1
Zn1 Zn 0.2500 0.2500 0.7500 1
Zn2 Zn 0.2500 0.7500 0.2500 1
Zn3 Zn 0.7500 0.2500 0.2500 1
Zn4 Zn 0.7500 0.7500 0.7500 1
```



Record 8
Computed powder diffractogram
Compound: Li2Os2O5
Radiation: CuKα
Structure: a structure optimized by DFT (PBE)
Kinematic intensities with the Lorentz-polarization factor, no thermal factor.

Principal peaks in the range 2θ from 10° to 90°, by angle:
2θ = 12.9°, I 23; 2θ = 23.4°, I 100; 2θ = 26.0°, I 27; 2θ = 33.4°, I 31; 2θ = 35.3°, I 39; 2θ = 46.4°, I 26; 2θ = 47.9°, I 22; 2θ = 54.0°, I 21; 2θ = 60.9°, I 17; 2θ = 68.9°, I 16

Crystal structure
```
data_Li2Os2O5
_space_group_name_H-M_alt 'P 1'
_space_group_IT_number 1
_cell_length_a 3.7991
_cell_length_b 3.7991
_cell_length_c 6.8544
_cell_angle_alpha 90.00
_cell_angle_beta 90.00
_cell_angle_gamma 90.00
loop_
_space_group_symop_operation_xyz
'x,y,z'
loop_
_atom_site_label
_atom_site_type_symbol
_atom_site_fract_x
_atom_site_fract_y
_atom_site_fract_z
_atom_site_occupancy
Li1 Li 0.0000 0.0000 0.0000 1
Li2 Li 0.0000 0.0000 0.5000 1
Os1 Os 0.5000 0.5000 0.1954 1
Os2 Os 0.5000 0.5000 0.8046 1
O1 O 0.0000 0.5000 0.1962 1
O2 O 0.0000 0.5000 0.8038 1
O3 O 0.5000 0.0000 0.1962 1
O4 O 0.5000 0.0000 0.8038 1
O5 O 0.5000 0.5000 0.5000 1
```